1.
The following is a simulated powder diffraction line list of SiHCl. It was derived from a GGA-PBE-relaxed structure, using λ = 1.5418 Å (Cu Kα).
Neutral-atom scattering factors, no anomalous dispersion.

Atomic structure:
```
data_SiHCl
_symmetry_space_group_name_H-M 'P -1'
_symmetry_Int_Tables_number 2
_symmetry_space_group_name_Hall '-P 1'
_cell_length_a 3.9528
_cell_length_b 5.9343
_cell_length_c 6.2950
_cell_angle_alpha 84.40
_cell_angle_beta 89.56
_cell_angle_gamma 88.12
loop_
_atom_site_label
_atom_site_fract_x
_atom_site_fract_y
_atom_site_fract_z
Si1 0.2480 0.0158 0.1004
H1 0.2361 0.2342 0.2002
Cl1 0.2586 0.7504 0.3429
```

Most intense lines, 5° ≤ 2θ ≤ 70°, in order of rising 2θ:
2θ/deg  I (rel.)
15.01  65.8
19.63  100.0
26.62  39.8
26.73  62.2
27.57  15.7
29.61  22.4
30.46  17.7
32.24  15.3
33.67  18.4
34.84  16.9
45.94  14.7
49.89  14.5



2.
The following is a simulated powder diffraction line list of Li2Fe2Br7. It was derived from a GGA-PBE-relaxed structure, using λ = 1.5418 Å (Cu Kα).
Neutral-atom scattering factors, no anomalous dispersion.

Atomic structure:
```
data_Li2Fe2Br7
_symmetry_space_group_name_H-M 'P 1 21/c 1'
_symmetry_Int_Tables_number 14
_symmetry_space_group_name_Hall '-P 2ybc'
_cell_length_a 6.7601
_cell_length_b 12.9602
_cell_length_c 8.4583
_cell_angle_alpha 90.00
_cell_angle_beta 98.82
_cell_angle_gamma 90.00
loop_
_atom_site_label
_atom_site_fract_x
_atom_site_fract_y
_atom_site_fract_z
Li1 0.2226 0.1999 0.3968
Fe1 0.3248 0.6015 0.6768
Br1 0.0723 0.6979 0.5146
Br2 0.1985 0.0023 0.3665
Br3 0.4231 0.2208 0.6930
Br4 0.5000 0.0000 0.0000
```

Most intense lines, 5° ≤ 2θ ≤ 70°, in order of rising 2θ:
2θ/deg  I (rel.)
17.32  33.7
19.48  70.0
20.84  32.7
27.12  100.0
27.59  93.8
33.93  19.0
34.05  19.1
44.55  34.1
47.67  22.8
47.94  32.7
48.42  21.6
49.72  23.9



3.
The following is a simulated powder diffraction line list of Th3AlZn6Hg2. It was derived from a GGA-PBE-relaxed structure, using λ = 1.5418 Å (Cu Kα).
Neutral-atom scattering factors, no anomalous dispersion.

Atomic structure:
```
data_Th3AlZn6Hg2
_symmetry_space_group_name_H-M 'P -3 m 1'
_symmetry_Int_Tables_number 164
_symmetry_space_group_name_Hall '-P 3 2"'
_cell_length_a 5.8919
_cell_length_b 5.8919
_cell_length_c 8.7970
_cell_angle_alpha 90.00
_cell_angle_beta 90.00
_cell_angle_gamma 120.00
loop_
_atom_site_label
_atom_site_fract_x
_atom_site_fract_y
_atom_site_fract_z
Th1 0.0000 0.0000 0.0000
Th2 0.3333 0.6667 0.6014
Al1 0.0000 0.0000 0.5000
Zn1 0.1813 0.3626 0.2824
Hg1 0.3333 0.6667 0.9784
```

Most intense lines, 5° ≤ 2θ ≤ 70°, in order of rising 2θ:
2θ/deg  I (rel.)
20.14  24.0
30.34  62.0
30.48  20.3
35.30  35.4
36.70  100.0
40.89  12.5
43.55  20.8
53.91  12.4
57.17  14.3
58.15  17.9
61.38  21.2
63.14  25.6



Copy entry 2 word for word.
The following is a simulated powder diffraction line list of Li2Fe2Br7. It was derived from a GGA-PBE-relaxed structure, using λ = 1.5418 Å (Cu Kα).
Neutral-atom scattering factors, no anomalous dispersion.

Atomic structure:
```
data_Li2Fe2Br7
_symmetry_space_group_name_H-M 'P 1 21/c 1'
_symmetry_Int_Tables_number 14
_symmetry_space_group_name_Hall '-P 2ybc'
_cell_length_a 6.7601
_cell_length_b 12.9602
_cell_length_c 8.4583
_cell_angle_alpha 90.00
_cell_angle_beta 98.82
_cell_angle_gamma 90.00
loop_
_atom_site_label
_atom_site_fract_x
_atom_site_fract_y
_atom_site_fract_z
Li1 0.2226 0.1999 0.3968
Fe1 0.3248 0.6015 0.6768
Br1 0.0723 0.6979 0.5146
Br2 0.1985 0.0023 0.3665
Br3 0.4231 0.2208 0.6930
Br4 0.5000 0.0000 0.0000
```

Most intense lines, 5° ≤ 2θ ≤ 70°, in order of rising 2θ:
2θ/deg  I (rel.)
17.32  33.7
19.48  70.0
20.84  32.7
27.12  100.0
27.59  93.8
33.93  19.0
34.05  19.1
44.55  34.1
47.67  22.8
47.94  32.7
48.42  21.6
49.72  23.9